This entry pairs a crystal structure of BePbBr4 with its computed XRD peak list. Radiation: copper Kα. Structure: a structure optimized by DFT (GGA-PBE).
Kinematic intensities with the Lorentz-polarization factor, no thermal factor.

Peak list (12 most intense, 10° ≤ 2θ ≤ 80°, low angle first)
two_theta	I/Imax
16.86	94
17.36	34
29.11	27
30.01	46
34.09	100
35.13	46
39.21	16
45.22	15
46.86	20
50.53	14
60.34	19
62.37	28

Cell and atoms:
Unit cell a=6.3888 b=6.3888 c=6.3888 alpha=111.14 beta=111.14 gamma=106.18
Positions (direct):
Be 0.0000 0.0000 0.0000
Pb 0.7500 0.2500 0.5000
Br 0.2254 0.2281 0.4519
Br 0.2265 0.7746 0.0027
Br 0.7719 0.2238 0.9973
Br 0.7762 0.7735 0.5481